This entry pairs a crystal structure of Mn2Cr13S20 with its computed powder X-ray diffraction pattern. Radiation: λ = 1.5418 Å (Cu Kα). Structure: the GGA-PBE geometry in Alexandria.

Atomic structure:
```
data_Mn2Cr13S20
_cell_length_a 7.9302
_cell_length_b 8.1063
_cell_length_c 8.7692
_cell_angle_alpha 77.62
_cell_angle_beta 75.08
_cell_angle_gamma 88.53
_symmetry_space_group_name_H-M 'P 1'
_symmetry_Int_Tables_number 1
loop_
_symmetry_equiv_pos_as_xyz
'x,y,z'
loop_
_atom_site_label
_atom_site_type_symbol
_atom_site_fract_x
_atom_site_fract_y
_atom_site_fract_z
_atom_site_occupancy
Mn1 Mn 0.1996 0.1997 0.2002 1
Mn2 Mn 0.8004 0.8003 0.7998 1
Cr1 Cr 0.0000 0.0000 0.0000 1
Cr2 Cr 0.0348 0.5196 0.8351 1
Cr3 Cr 0.1656 0.6816 0.3650 1
Cr4 Cr 0.2347 0.7174 0.0337 1
Cr5 Cr 0.3652 0.8808 0.5652 1
Cr6 Cr 0.3997 0.3997 0.3995 1
Cr7 Cr 0.4347 0.9203 0.2351 1
Cr8 Cr 0.5653 0.0797 0.7649 1
Cr9 Cr 0.6003 0.6003 0.6005 1
Cr10 Cr 0.6348 0.1192 0.4348 1
Cr11 Cr 0.7653 0.2826 0.9663 1
Cr12 Cr 0.8344 0.3184 0.6350 1
Cr13 Cr 0.9652 0.4804 0.1649 1
S1 S 0.0229 0.2516 0.7945 1
S2 S 0.0938 0.3830 0.3953 1
S3 S 0.1078 0.8200 0.8066 1
S4 S 0.1759 0.9480 0.4073 1
S5 S 0.2234 0.4509 0.9934 1
S6 S 0.2956 0.5789 0.5943 1
S7 S 0.3060 0.0166 0.0042 1
S8 S 0.3760 0.1483 0.6057 1
S9 S 0.4239 0.6518 0.1937 1
S10 S 0.4924 0.7793 0.7927 1
S11 S 0.5076 0.2207 0.2073 1
S12 S 0.5761 0.3482 0.8063 1
S13 S 0.6240 0.8517 0.3943 1
S14 S 0.6940 0.9834 0.9958 1
S15 S 0.7044 0.4211 0.4057 1
S16 S 0.7766 0.5491 0.0066 1
S17 S 0.8241 0.0520 0.5927 1
S18 S 0.8922 0.1800 0.1934 1
S19 S 0.9062 0.6170 0.6047 1
S20 S 0.9771 0.7484 0.2055 1
```

Principal peaks in the range 10° ≤ 2θ ≤ 90°, in order of rising 2θ:
15.85°, rel. 57.3; 17.69°, rel. 70.9; 28.03°, rel. 47.4; 34.83°, rel. 92.7; 35.83°, rel. 44.3; 44.76°, rel. 100.0; 45.76°, rel. 44.7; 45.80°, rel. 44.8; 55.40°, rel. 42.9; 55.53°, rel. 53.7

---

This entry pairs a crystal structure of MnCr5S8 with its computed powder X-ray diffraction pattern. Radiation: λ = 1.5418 Å (Cu Kα). Structure: the GGA-PBE geometry in Alexandria.

Atomic structure:
```
data_MnCr5S8
_cell_length_a 6.8563
_cell_length_b 6.8563
_cell_length_c 6.8563
_cell_angle_alpha 60.00
_cell_angle_beta 60.00
_cell_angle_gamma 60.00
_symmetry_space_group_name_H-M 'P 1'
_symmetry_Int_Tables_number 1
loop_
_symmetry_equiv_pos_as_xyz
'x,y,z'
loop_
_atom_site_label
_atom_site_type_symbol
_atom_site_fract_x
_atom_site_fract_y
_atom_site_fract_z
_atom_site_occupancy
Mn1 Mn 0.0000 0.0000 0.0000 1
Cr1 Cr 0.0650 0.6450 0.6450 1
Cr2 Cr 0.2500 0.2500 0.2500 1
Cr3 Cr 0.6450 0.0650 0.6450 1
Cr4 Cr 0.6450 0.6450 0.0650 1
Cr5 Cr 0.6450 0.6450 0.6450 1
S1 S 0.3830 0.8723 0.8723 1
S2 S 0.3884 0.3884 0.3884 1
S3 S 0.3884 0.3884 0.8348 1
S4 S 0.3884 0.8348 0.3884 1
S5 S 0.8348 0.3884 0.3884 1
S6 S 0.8723 0.3830 0.8723 1
S7 S 0.8723 0.8723 0.3830 1
S8 S 0.8723 0.8723 0.8723 1
```

Principal peaks in the range 10° ≤ 2θ ≤ 90°, in order of rising 2θ:
15.83°, rel. 30.4; 25.99°, rel. 47.9; 30.58°, rel. 100.0; 37.09°, rel. 61.1; 45.85°, rel. 29.7; 48.80°, rel. 64.7; 53.46°, rel. 93.3; 73.02°, rel. 16.6; 75.28°, rel. 16.1; 84.85°, rel. 15.9